Computed X-ray diffraction stick pattern of Tl2Cd2InHg7 for Cu Kα X-rays, from DFT lattice parameters and positions (GGA-PBE).
Neutral-atom scattering factors, no anomalous dispersion.

Top 12 peaks for 2θ = 10–90°, sorted by position:
2θ = 28.54°, I 37
2θ = 29.41°, I 29
2θ = 29.85°, I 30
2θ = 29.98°, I 28
2θ = 31.92°, I 38
2θ = 32.53°, I 50
2θ = 32.73°, I 75
2θ = 33.69°, I 60
2θ = 36.03°, I 39
2θ = 39.89°, I 100
2θ = 49.48°, I 27
2θ = 56.69°, I 34

Atomic structure:
```
data_Tl2Cd2InHg7
_cell_length_a 6.5144
_cell_length_b 6.3794
_cell_length_c 15.9672
_cell_angle_alpha 90.00
_cell_angle_beta 91.20
_cell_angle_gamma 90.00
_space_group_name_H-M_alt 'C 1 2/m 1'
_space_group_IT_number 12
_space_group_name_Hall '-C 2y'
loop_
_atom_site_label
_atom_site_type_symbol
_atom_site_fract_x
_atom_site_fract_y
_atom_site_fract_z
Tl1 Tl 0.0959 0.0000 0.3393
Cd1 Cd 0.0833 0.5000 0.2943
In1 In 0.0000 0.0000 0.0000
Hg1 Hg 0.0000 0.5000 0.0000
Hg2 Hg 0.1809 0.2512 0.8401
Hg3 Hg 0.2241 0.5000 0.4751
```